1.
Er2Ga10Os3: computed powder XRD pattern (a wavelength of 1.5418 Å), based on a DFT-relaxed cell (PBE, the Materials Project).
Lines closer than 0.1° are merged.

Top 10 peaks for 5 to 70 degrees two-theta, low angle first:
- 2θ = 19.77°, rel. 22
- 2θ = 22.31°, rel. 54
- 2θ = 34.49°, rel. 20
- 2θ = 35.98°, rel. 100
- 2θ = 40.15°, rel. 43
- 2θ = 41.81°, rel. 90
- 2θ = 42.75°, rel. 94
- 2θ = 43.07°, rel. 27
- 2θ = 45.51°, rel. 25
- 2θ = 67.98°, rel. 22

Cell and atoms:
```
Er2Ga10Os3
1.0
8.9087 0.0000 0.0000
0.0000 8.9087 0.0000
0.0000 0.0000 6.4063
Er Ga Os
4 20 6
direct
0.1826 0.3174 0.0000 Er
0.3174 0.8174 0.0000 Er
0.6826 0.1826 0.0000 Er
0.8174 0.6826 0.0000 Er
0.0000 0.5000 0.2838 Ga
0.0000 0.5000 0.7162 Ga
0.0613 0.7932 0.2926 Ga
0.0613 0.7932 0.7074 Ga
0.2068 0.0613 0.2926 Ga
0.2068 0.0613 0.7074 Ga
0.2932 0.5613 0.2926 Ga
0.2932 0.5613 0.7074 Ga
0.4387 0.2932 0.2926 Ga
0.4387 0.2932 0.7074 Ga
0.5000 0.0000 0.2838 Ga
0.5000 0.0000 0.7162 Ga
0.5613 0.7068 0.2926 Ga
0.5613 0.7068 0.7074 Ga
0.7068 0.4387 0.2926 Ga
0.7068 0.4387 0.7074 Ga
0.7932 0.9387 0.2926 Ga
0.7932 0.9387 0.7074 Ga
0.9387 0.2068 0.2926 Ga
0.9387 0.2068 0.7074 Ga
0.0000 0.0000 0.0000 Os
0.1787 0.3213 0.5000 Os
0.3213 0.8213 0.5000 Os
0.5000 0.5000 0.0000 Os
0.6787 0.1787 0.5000 Os
0.8213 0.6787 0.5000 Os
```

=====

2.
FeCu3S4: computed powder XRD pattern (a wavelength of 1.5418 Å), based on a DFT-relaxed cell (PBE, the Materials Project).
Lines closer than 0.1° are merged.

Top 8 peaks for 5 to 70 degrees two-theta, low angle first:
- 2θ = 29.73°, rel. 100
- 2θ = 34.34°, rel. 7
- 2θ = 34.72°, rel. 3
- 2θ = 49.35°, rel. 20
- 2θ = 49.63°, rel. 39
- 2θ = 58.68°, rel. 26
- 2θ = 59.18°, rel. 12
- 2θ = 61.75°, rel. 2

Cell and atoms:
```
FeCu3S4
1.0
5.2229 0.0000 0.0000
0.0000 5.2229 0.0000
0.0000 0.0000 10.3355
Fe Cu S
2 6 8
direct
0.0000 0.0000 0.0000 Fe
0.5000 0.5000 0.5000 Fe
0.0000 0.0000 0.5000 Cu
0.0000 0.5000 0.2500 Cu
0.0000 0.5000 0.7500 Cu
0.5000 0.0000 0.2500 Cu
0.5000 0.0000 0.7500 Cu
0.5000 0.5000 0.0000 Cu
0.2436 0.2436 0.1225 S
0.2436 0.7564 0.8775 S
0.2564 0.2564 0.6225 S
0.2564 0.7436 0.3775 S
0.7436 0.2564 0.3775 S
0.7436 0.7436 0.6225 S
0.7564 0.2436 0.8775 S
0.7564 0.7564 0.1225 S
```

=====

3.
Na3Pr: computed powder XRD pattern (a wavelength of 1.5418 Å), based on a DFT-relaxed cell (PBE, the Materials Project).
Lines closer than 0.1° are merged.

Top 10 peaks for 5 to 70 degrees two-theta, low angle first:
- 2θ = 16.03°, rel. 32
- 2θ = 19.18°, rel. 85
- 2θ = 24.71°, rel. 23
- 2θ = 29.60°, rel. 100
- 2θ = 29.92°, rel. 28
- 2θ = 32.39°, rel. 20
- 2θ = 35.23°, rel. 31
- 2θ = 40.42°, rel. 25
- 2θ = 48.60°, rel. 25
- 2θ = 59.78°, rel. 26

Cell and atoms:
```
Na3Pr
1.0
5.0952 0.0000 0.0000
0.0000 5.0952 0.0000
0.0000 0.0000 11.0553
Na Pr
6 2
direct
0.0000 0.0000 0.0000 Na
0.0000 0.5000 0.2500 Na
0.0000 0.5000 0.7500 Na
0.5000 0.0000 0.2500 Na
0.5000 0.0000 0.7500 Na
0.5000 0.5000 0.5000 Na
0.0000 0.0000 0.5000 Pr
0.5000 0.5000 0.0000 Pr
```

=====

4.
LaTlGeSe4: computed powder XRD pattern (a wavelength of 1.5418 Å), based on a DFT-relaxed cell (PBE, the Materials Project).
Lines closer than 0.1° are merged.

Top 10 peaks for 5 to 70 degrees two-theta, low angle first:
- 2θ = 17.76°, rel. 57
- 2θ = 19.67°, rel. 35
- 2θ = 19.70°, rel. 34
- 2θ = 29.27°, rel. 100
- 2θ = 29.53°, rel. 51
- 2θ = 31.72°, rel. 63
- 2θ = 32.16°, rel. 97
- 2θ = 34.24°, rel. 44
- 2θ = 35.18°, rel. 63
- 2θ = 36.70°, rel. 29

Cell and atoms:
```
LaTlGeSe4
1.0
7.2302 0.0000 0.0000
-0.0194 11.6142 0.0000
-0.0412 -0.0499 19.5755
La Tl Ge Se
8 8 8 32
direct
0.0000 0.0000 0.0000 La
0.0030 0.4997 0.3673 La
0.4549 0.2133 0.8670 La
0.4581 0.7153 0.5004 La
0.4996 0.7142 0.9981 La
0.5025 0.2142 0.3692 La
0.9556 0.4985 0.8675 La
0.9595 0.9997 0.4992 La
0.0540 0.3514 0.1316 Tl
0.0568 0.8499 0.2351 Tl
0.3952 0.8617 0.7369 Tl
0.4035 0.3631 0.6302 Tl
0.5557 0.3655 0.1319 Tl
0.5629 0.8628 0.2361 Tl
0.8937 0.8512 0.7353 Tl
0.9041 0.3510 0.6305 Tl
0.0125 0.6626 0.0461 Ge
0.0137 0.1619 0.3219 Ge
0.4447 0.5501 0.8203 Ge
0.4464 0.0524 0.5476 Ge
0.5123 0.0521 0.0452 Ge
0.5144 0.5511 0.3219 Ge
0.9431 0.1612 0.8208 Ge
0.9451 0.6640 0.5455 Ge
0.1050 0.7473 0.9389 Se
0.1069 0.2485 0.4290 Se
0.1332 0.3098 0.7744 Se
0.1368 0.8123 0.5928 Se
0.1556 0.0113 0.8508 Se
0.1582 0.5148 0.5163 Se
0.1926 0.6068 0.7504 Se
0.1954 0.1084 0.6176 Se
0.2648 0.1040 0.2519 Se
0.2651 0.6076 0.1168 Se
0.2994 0.2022 0.0161 Se
0.3040 0.7025 0.3509 Se
0.3233 0.4019 0.2756 Se
0.3237 0.9032 0.0921 Se
0.3511 0.4655 0.9277 Se
0.3536 0.9684 0.4397 Se
0.6056 0.9665 0.9382 Se
0.6099 0.4665 0.4287 Se
0.6336 0.4015 0.7740 Se
0.6383 0.9044 0.5929 Se
0.6588 0.6995 0.8497 Se
0.6609 0.2017 0.5179 Se
0.6921 0.1033 0.7504 Se
0.6974 0.6072 0.6169 Se
0.7632 0.1083 0.1160 Se
0.7629 0.6059 0.2502 Se
0.7988 0.5128 0.0161 Se
0.8001 0.0126 0.3511 Se
0.8207 0.8097 0.0920 Se
0.8235 0.3091 0.2750 Se
0.8494 0.2474 0.9274 Se
0.8512 0.7484 0.4382 Se
```

=====

5.
GdScGe: computed powder XRD pattern (a wavelength of 1.5418 Å), based on a DFT-relaxed cell (PBE, the Materials Project).
Lines closer than 0.1° are merged.

Top 10 peaks for 5 to 70 degrees two-theta, low angle first:
- 2θ = 11.25°, rel. 29
- 2θ = 26.95°, rel. 68
- 2θ = 29.62°, rel. 96
- 2θ = 31.78°, rel. 93
- 2θ = 34.20°, rel. 35
- 2θ = 35.46°, rel. 100
- 2θ = 37.59°, rel. 76
- 2θ = 42.39°, rel. 80
- 2θ = 55.55°, rel. 34
- 2θ = 56.42°, rel. 52

Cell and atoms:
```
GdScGe
1.0
4.2646 0.0000 0.0000
0.0000 4.2646 0.0000
0.0000 0.0000 15.7300
Gd Sc Ge
4 4 4
direct
0.0000 0.0000 0.1772 Gd
0.0000 0.0000 0.8228 Gd
0.5000 0.5000 0.3228 Gd
0.5000 0.5000 0.6772 Gd
0.0000 0.5000 0.0000 Sc
0.0000 0.5000 0.5000 Sc
0.5000 0.0000 0.0000 Sc
0.5000 0.0000 0.5000 Sc
0.0000 0.0000 0.3742 Ge
0.0000 0.0000 0.6258 Ge
0.5000 0.5000 0.1258 Ge
0.5000 0.5000 0.8742 Ge
```

=====

6.
SmNi5: computed powder XRD pattern (a wavelength of 1.5418 Å), based on a DFT-relaxed cell (PBE, the Materials Project).
Lines closer than 0.1° are merged.

Top 10 peaks for 5 to 70 degrees two-theta, low angle first:
- 2θ = 22.47°, rel. 6
- 2θ = 30.85°, rel. 48
- 2θ = 36.55°, rel. 32
- 2θ = 42.46°, rel. 35
- 2θ = 43.33°, rel. 100
- 2θ = 45.87°, rel. 27
- 2θ = 48.56°, rel. 7
- 2θ = 60.03°, rel. 15
- 2θ = 62.28°, rel. 13
- 2θ = 64.28°, rel. 20

Cell and atoms:
```
SmNi5
1.0
4.9171 0.0000 0.0000
-2.4586 4.2584 0.0000
0.0000 0.0000 3.9563
Sm Ni
1 5
direct
0.0000 0.0000 0.0000 Sm
0.0000 0.5000 0.5000 Ni
0.3333 0.6667 0.0000 Ni
0.5000 0.0000 0.5000 Ni
0.5000 0.5000 0.5000 Ni
0.6667 0.3333 0.0000 Ni
```

=====

7.
HfSiOs: computed powder XRD pattern (a wavelength of 1.5418 Å), based on a DFT-relaxed cell (PBE, the Materials Project).
Lines closer than 0.1° are merged.

Top 10 peaks for 5 to 70 degrees two-theta, low angle first:
- 2θ = 26.81°, rel. 25
- 2θ = 28.68°, rel. 27
- 2θ = 36.33°, rel. 100
- 2θ = 39.66°, rel. 63
- 2θ = 41.45°, rel. 46
- 2θ = 41.55°, rel. 22
- 2θ = 49.25°, rel. 19
- 2θ = 63.37°, rel. 18
- 2θ = 66.28°, rel. 18
- 2θ = 66.35°, rel. 9

Cell and atoms:
```
HfSiOs
1.0
-3.7002 5.7475 3.3316
3.7002 -5.7475 3.3316
3.7002 5.7475 -3.3316
Hf Si Os
6 6 6
direct
0.0028 0.2500 0.2528 Hf
0.4230 0.8722 0.0508 Hf
0.4240 0.3948 0.5292 Hf
0.8214 0.3722 0.9492 Hf
0.8656 0.8948 0.4708 Hf
0.9972 0.7500 0.7472 Hf
0.0883 0.4271 0.6731 Si
0.0883 0.9152 0.1612 Si
0.3854 0.1617 0.7237 Si
0.4380 0.6617 0.2763 Si
0.7540 0.4152 0.3269 Si
0.7540 0.9271 0.8388 Si
0.1711 0.3239 0.9037 Os
0.1711 0.7673 0.3472 Os
0.4201 0.2673 0.0963 Os
0.4201 0.8239 0.6528 Os
0.6679 0.1679 0.5000 Os
0.6679 0.6679 0.0000 Os
```

=====

8.
Hg3Rh: computed powder XRD pattern (a wavelength of 1.5418 Å), based on a DFT-relaxed cell (PBE, the Materials Project).
Lines closer than 0.1° are merged.

Top 10 peaks for 5 to 70 degrees two-theta, low angle first:
- 2θ = 19.33°, rel. 2
- 2θ = 23.47°, rel. 5
- 2θ = 36.26°, rel. 100
- 2θ = 36.43°, rel. 2
- 2θ = 39.23°, rel. 20
- 2θ = 43.50°, rel. 30
- 2θ = 50.01°, rel. 2
- 2θ = 60.00°, rel. 24
- 2θ = 63.21°, rel. 10
- 2θ = 69.17°, rel. 16

Cell and atoms:
```
Hg3Rh
1.0
4.1606 0.0000 0.0000
0.0000 4.1606 0.0000
0.0000 0.0000 9.1860
Hg Rh
6 2
direct
0.0000 0.0000 0.0000 Hg
0.0000 0.5000 0.2500 Hg
0.0000 0.5000 0.7500 Hg
0.5000 0.0000 0.2500 Hg
0.5000 0.0000 0.7500 Hg
0.5000 0.5000 0.5000 Hg
0.0000 0.0000 0.5000 Rh
0.5000 0.5000 0.0000 Rh
```